# Na2Sc2P2SO12
Theoretical X-ray powder pattern, CuKα. Input: a structure optimized by DFT (PBE).

Main lines, in order of falling intensity (2θ from 10° to 90°):
h k l, 2θ (°), I/Imax
0 2 1, 23.07, 100.0
0 2 2, 30.78, 58.4
3 1 -3, 30.88, 29.3
2 0 -2, 19.29, 21.7
4 0 0, 27.83, 19.8
3 3 -1, 34.75, 18.5
1 1 -1, 13.81, 18.2
6 2 0, 47.10, 17.1
3 1 -1, 19.89, 16.2
6 4 -2, 54.28, 9.6

Structural model:
```
data_Na2Sc2P2SO12
_space_group_name_H-M_alt 'C 1 c 1'
_space_group_IT_number 9
_cell_length_a 15.431
_cell_length_b 8.955
_cell_length_c 9.195
_cell_angle_alpha 90.00
_cell_angle_beta 123.85
_cell_angle_gamma 90.00
loop_
_space_group_symop_operation_xyz
'x,y,z'
'x,-y,z+1/2'
'x+1/2,y+1/2,z'
'x+1/2,-y+1/2,z+1/2'
loop_
_atom_site_label
_atom_site_type_symbol
_atom_site_fract_x
_atom_site_fract_y
_atom_site_fract_z
Na1 Na 0.000 0.063 0.000
Na2 Na 0.073 0.255 0.747
Sc1 Sc 0.215 0.252 0.192
Sc2 Sc 0.412 0.253 0.799
P1 P 0.168 0.104 0.493
P2 P 0.314 0.457 0.997
S1 S 0.462 0.102 0.498
O1 O 0.053 0.323 0.013
O2 O 0.071 0.173 0.477
O3 O 0.161 0.068 0.013
O4 O 0.166 0.131 0.325
O5 O 0.241 0.357 0.016
O6 O 0.250 0.440 0.336
O7 O 0.267 0.171 0.654
O8 O 0.370 0.173 0.340
O9 O 0.387 0.447 0.662
O10 O 0.392 0.362 0.978
O11 O 0.461 0.131 0.655
O12 O 0.466 0.060 0.977
```

# NaScSnP2SO12
Theoretical X-ray powder pattern, CuKα. Input: a structure optimized by DFT (PBE).

Main lines, in order of falling intensity (2θ from 10° to 90°):
h k l, 2θ (°), I/Imax
0 2 0, 20.24, 100.0
0 2 1, 23.39, 89.2
2 0 -2, 19.34, 84.7
3 1 -3, 31.01, 81.7
1 1 -1, 14.00, 62.5
3 1 0, 23.25, 46.9
3 1 1, 30.82, 44.1
2 2 -2, 28.21, 43.0
3 3 -1, 35.47, 32.6
6 2 -4, 47.84, 30.1

Structural model:
```
data_NaScSnP2SO12
_space_group_name_H-M_alt 'C 1 c 1'
_space_group_IT_number 9
_cell_length_a 15.232
_cell_length_b 8.758
_cell_length_c 9.171
_cell_angle_alpha 90.00
_cell_angle_beta 123.13
_cell_angle_gamma 90.00
loop_
_space_group_symop_operation_xyz
'x,y,z'
'x,-y,z+1/2'
'x+1/2,y+1/2,z'
'x+1/2,-y+1/2,z+1/2'
loop_
_atom_site_label
_atom_site_type_symbol
_atom_site_fract_x
_atom_site_fract_y
_atom_site_fract_z
Na1 Na 0.000 0.243 0.000
Sc1 Sc 0.349 0.260 0.064
Sn1 Sn 0.147 0.249 0.451
P1 P 0.104 0.104 0.758
P2 P 0.247 0.458 0.256
S1 S 0.396 0.104 0.757
O1 O 0.006 0.178 0.736
O2 O 0.099 0.074 0.273
O3 O 0.104 0.123 0.588
O4 O 0.169 0.357 0.274
O5 O 0.175 0.446 0.588
O6 O 0.202 0.171 0.917
O7 O 0.305 0.175 0.596
O8 O 0.315 0.443 0.915
O9 O 0.321 0.355 0.237
O10 O 0.393 0.133 0.911
O11 O 0.399 0.061 0.235
O12 O 0.489 0.177 0.770
```